The following is a computed powder XRD pattern of ZrTl3F7. It was derived from a crystal structure in Alexandria, relaxed with PBE, using Cu Kα (λ = 1.5418 Å).

Top 12 peaks for 10° ≤ 2θ ≤ 90°, by angle:
2θ = 23.87°, rel. 37.6
2θ = 26.15°, rel. 100.0
2θ = 29.64°, rel. 48.1
2θ = 40.97°, rel. 36.1
2θ = 43.83°, rel. 28.7
2θ = 47.97°, rel. 16.8
2θ = 50.52°, rel. 29.1
2θ = 51.76°, rel. 13.4
2θ = 53.81°, rel. 11.0
2θ = 67.72°, rel. 9.0
2θ = 70.10°, rel. 12.0
2θ = 71.83°, rel. 9.6

Atomic structure:
```
ZrTl3F7
1.0
4.131 2.385 3.728
-4.131 2.385 3.728
0.000 -4.770 3.728
Zr Tl F
1 3 7
Direct
0.000 0.000 0.000 Zr
0.469 0.469 0.945 Tl
0.469 0.945 0.469 Tl
0.945 0.469 0.469 Tl
0.110 0.770 0.770 F
0.194 0.194 0.194 F
0.195 0.195 0.768 F
0.195 0.768 0.195 F
0.768 0.195 0.195 F
0.770 0.110 0.770 F
0.770 0.770 0.110 F
```